1.
# Co5W8
Theoretical powder diffractogram, Cu Ka. Input: DFT lattice parameters and positions (GGA-PBE).
Neutral-atom scattering factors, no anomalous dispersion.

Atomic structure:
Cell lengths 5.1354, 5.1354, 26.0955 Å; angles 90.00, 90.00, 120.00 degrees
Space group R-3m (No. 166, hexagonal axes)
Symmetry-distinct sites (fractional):
Co1 0.0000 0.0000 0.0000
Co2 0.0000 0.0000 0.1666
Co3 0.0000 0.0000 0.3482
W1 0.0000 0.0000 0.4521
W2 0.0024 0.5012 0.4090

The 10 most intense peaks (10° ≤ 2θ ≤ 80°), by angle:
- d = 4.349 Å, rel. 63.9, (0 0 6)
- d = 2.251 Å, rel. 32.0, (1 0 10)
- d = 2.214 Å, rel. 100.0, (0 2 1)
- d = 2.192 Å, rel. 23.6, (2 0 2)
- d = 2.105 Å, rel. 19.3, (0 2 4)
- d = 2.093 Å, rel. 33.3, (0 1 11)
- d = 2.046 Å, rel. 49.4, (2 0 5)
- d = 1.910 Å, rel. 25.4, (0 2 7)
- d = 1.372 Å, rel. 16.8, (1 2 11)
- d = 1.284 Å, rel. 25.7, (2 2 0)

2.
# CoW5
Theoretical powder diffractogram, Cu Ka. Input: DFT lattice parameters and positions (GGA-PBE).
Neutral-atom scattering factors, no anomalous dispersion.

Atomic structure:
Cell lengths 5.1121, 5.1121, 16.5278 Å; angles 90.00, 90.00, 120.00 degrees
Space group P6_3/mmc (No. 194)
Symmetry-distinct sites (fractional):
Co1 0.3333 0.6667 0.1260
W1 0.0000 0.0000 0.0940
W2 0.0000 0.5000 0.0000
W3 0.1640 0.3280 0.2500
W4 0.3333 0.6667 0.6554

The 10 most intense peaks (10° ≤ 2θ ≤ 80°), by angle:
- d = 2.649 Å, rel. 25.1, (1 0 5)
- d = 2.339 Å, rel. 75.1, (1 0 6)
- d = 2.194 Å, rel. 43.6, (2 0 1)
- d = 2.174 Å, rel. 100.0, (1 1 4)
- d = 2.138 Å, rel. 98.5, (2 0 2)
- d = 2.066 Å, rel. 21.5, (0 0 8)
- d = 1.430 Å, rel. 29.9, (2 1 6)
- d = 1.390 Å, rel. 23.9, (3 0 4)
- d = 1.324 Å, rel. 36.1, (2 0 10)
- d = 1.278 Å, rel. 33.8, (2 2 0)

3.
# Co28W
Theoretical powder diffractogram, Cu Ka. Input: DFT lattice parameters and positions (GGA-PBE).
Neutral-atom scattering factors, no anomalous dispersion.

Atomic structure:
Cell lengths 8.590, 8.590, 8.590 Å; angles 90.00, 90.00, 90.00 degrees
Space group I-43m (No. 217)
Symmetry-distinct sites (fractional):
Co1 0.043 0.359 0.641
Co2 0.092 0.092 0.716
Co3 0.180 0.180 0.180
W1 0.000 0.000 0.000

The 10 most intense peaks (10° ≤ 2θ ≤ 80°), by angle:
- d = 6.074 Å, rel. 7.7, (1 1 0)
- d = 3.507 Å, rel. 4.4, (2 1 1)
- d = 2.716 Å, rel. 4.0, (3 1 0)
- d = 2.296 Å, rel. 8.8, (3 2 1)
- d = 2.025 Å, rel. 100.0, (4 1 1)
- d = 1.831 Å, rel. 22.4, (3 3 2)
- d = 1.753 Å, rel. 11.9, (4 2 2)
- d = 1.685 Å, rel. 7.7, (4 3 1)
- d = 1.240 Å, rel. 4.4, (4 4 4)
- d = 1.215 Å, rel. 10.6, (5 5 0)